Diffraction record for RbMn2Ag2F7. The powder XRD pattern is simulated, not measured: it uses a crystal structure in Alexandria, relaxed with PBE+U and Cu Kα X-rays.
Lines closer than 0.1° are merged.

The 6 most intense peaks (2θ from 15° to 90°), by angle:
| 2theta | d (Å) | Rel. int. | index |
| --- | --- | --- | --- |
| 24.7 | 3.598 | 100.0 | 1 0 2 |
| 28.3 | 3.157 | 70.1 | 0 1 -2 |
| 30.1 | 2.973 | 73.0 | 1 1 0 |
| 30.7 | 2.915 | 83.4 | -1 1 1 |
| 36.8 | 2.441 | 63.2 | 1 0 -3 |
| 43.1 | 2.097 | 55.4 | 2 0 1 |

Structural model:
Cell: 4.193 4.502 10.842 Å, 81.08 78.94 90.00°
Atoms (fractional coordinates):
Rb1 0.000 0.000 0.000
Mn1 0.400 0.424 0.202
Mn2 0.600 0.576 0.798
Ag1 0.277 0.833 0.446
Ag2 0.723 0.167 0.554
F1 0.098 0.575 0.801
F2 0.296 0.348 0.411
F3 0.396 0.922 0.209
F4 0.500 0.500 0.000
F5 0.604 0.078 0.791
F6 0.704 0.652 0.589
F7 0.902 0.425 0.199